This entry pairs a crystal structure of Hf3Co2 with its simulated powder diffraction line list. Radiation: Cu Kα (weighted mean of Kα1 and Kα2). Structure: a GGA-PBE-relaxed structure.
Neutral-atom scattering factors, no anomalous dispersion.

Atomic structure:
Unit cell a=4.0017 b=5.4026 c=7.9639 alpha=90.00 beta=90.00 gamma=90.00
Atoms (fractional coordinates):
Hf 0.0000 0.0000 0.0000
Hf 0.0000 0.5000 0.2010
Hf 0.0000 0.5000 0.7990
Hf 0.5000 0.0000 0.2990
Hf 0.5000 0.0000 0.7010
Hf 0.5000 0.5000 0.5000
Co 0.0000 0.2218 0.5000
Co 0.0000 0.7782 0.5000
Co 0.5000 0.2782 0.0000
Co 0.5000 0.7218 0.0000

Most intense lines, 10 to 80 degrees two-theta, low angle first:
d [Å]	I_rel
2.701	22.1
2.502	100.0
2.383	35.0
2.155	44.0
2.001	23.5
1.532	18.1
1.490	15.8
1.298	22.1

This entry pairs a crystal structure of Cs2SiI5Cl with its simulated powder diffraction line list. Radiation: Cu Kα (weighted mean of Kα1 and Kα2). Structure: a GGA-PBE-relaxed structure.
Neutral-atom scattering factors, no anomalous dispersion.

Atomic structure:
Unit cell a=8.2419 b=8.2419 c=8.2419 alpha=119.91 beta=119.91 gamma=90.15
Atoms (fractional coordinates):
Cs 0.0000 0.5000 0.5000
Cs 0.5000 0.0000 0.5000
Si 0.2540 0.2540 0.0000
I 0.0200 0.0200 0.5357
I 0.0200 0.4843 0.0000
I 0.0205 0.0205 0.0000
I 0.4843 0.0200 0.0000
I 0.4843 0.4843 0.4643
Cl 0.4437 0.4437 0.0000

Most intense lines, 10 to 80 degrees two-theta, low angle first:
d [Å]	I_rel
6.733	14.6
3.366	100.0
2.915	57.4
2.061	39.0
1.759	26.9
1.756	12.7
1.683	12.7
1.338	13.9

This entry pairs a crystal structure of Bi4I3Br with its simulated powder diffraction line list. Radiation: Cu Kα (weighted mean of Kα1 and Kα2). Structure: a GGA-PBE-relaxed structure.
Neutral-atom scattering factors, no anomalous dispersion.

Atomic structure:
Unit cell a=8.1198 b=8.1198 c=21.1984 alpha=90.00 beta=90.00 gamma=148.65
Atoms (fractional coordinates):
Bi 0.0353 0.9647 0.5000
Bi 0.0635 0.9365 0.3559
Bi 0.2672 0.7328 0.7201
Bi 0.3010 0.6990 0.8637
Bi 0.6990 0.3010 0.3637
Bi 0.7328 0.2672 0.2201
Bi 0.9365 0.0635 0.8559
Bi 0.9647 0.0353 0.0000
I 0.1014 0.8986 0.1778
I 0.3694 0.6306 0.2514
I 0.3970 0.6030 0.4752
I 0.6030 0.3970 0.9752
I 0.6306 0.3694 0.7514
I 0.8986 0.1014 0.6778
Br 0.3452 0.6548 0.0333
Br 0.6548 0.3452 0.5333

Most intense lines, 10 to 80 degrees two-theta, low angle first:
d [Å]	I_rel
7.335	35.2
6.292	51.5
3.727	46.4
3.533	26.3
3.356	40.8
3.315	100.0
2.248	29.6
2.194	27.0

This entry pairs a crystal structure of Ce2TmMnN5 with its simulated powder diffraction line list. Radiation: Cu Kα (weighted mean of Kα1 and Kα2). Structure: a GGA-PBE-relaxed structure.
Neutral-atom scattering factors, no anomalous dispersion.

Atomic structure:
Unit cell a=6.4940 b=6.4940 c=5.6267 alpha=90.00 beta=90.00 gamma=90.00
Atoms (fractional coordinates):
Ce 0.1674 0.3326 0.0000
Ce 0.3326 0.8326 0.0000
Ce 0.6674 0.1674 0.0000
Ce 0.8326 0.6674 0.0000
Tm 0.0000 0.0000 0.5000
Tm 0.5000 0.5000 0.5000
Mn 0.0000 0.5000 0.5000
Mn 0.5000 0.0000 0.5000
N 0.0000 0.0000 0.0000
N 0.1459 0.6459 0.2750
N 0.1459 0.6459 0.7250
N 0.3541 0.1459 0.2750
N 0.3541 0.1459 0.7250
N 0.5000 0.5000 0.0000
N 0.6459 0.8541 0.2750
N 0.6459 0.8541 0.7250
N 0.8541 0.3541 0.2750
N 0.8541 0.3541 0.7250

Most intense lines, 10 to 80 degrees two-theta, low angle first:
d [Å]	I_rel
3.558	26.9
2.904	16.8
2.813	100.0
2.581	41.5
2.296	15.7
2.054	19.6
2.021	26.1
1.624	14.3

This entry pairs a crystal structure of KHCl2 with its simulated powder diffraction line list. Radiation: Cu Kα (weighted mean of Kα1 and Kα2). Structure: a GGA-PBE-relaxed structure.
Neutral-atom scattering factors, no anomalous dispersion.

Atomic structure:
Unit cell a=6.1918 b=5.6771 c=15.3657 alpha=90.00 beta=102.18 gamma=90.00
Atoms (fractional coordinates):
K 0.1764 0.2398 0.1253
K 0.1764 0.7602 0.6253
K 0.8236 0.2398 0.3747
K 0.8236 0.7602 0.8747
H 0.2016 0.0788 0.8728
H 0.2016 0.9212 0.3728
H 0.7984 0.0788 0.6272
H 0.7984 0.9212 0.1272
Cl 0.0636 0.2620 0.9145
Cl 0.0636 0.7380 0.4145
Cl 0.3135 0.1317 0.3344
Cl 0.3135 0.8683 0.8344
Cl 0.6865 0.1317 0.1656
Cl 0.6865 0.8683 0.6656
Cl 0.9364 0.2620 0.5855
Cl 0.9364 0.7380 0.0855

Most intense lines, 10 to 80 degrees two-theta, low angle first:
d [Å]	I_rel
6.052	59.6
5.308	69.8
4.148	53.7
3.755	84.2
2.718	100.0
2.655	44.2
2.506	35.4
2.193	36.1

This entry pairs a crystal structure of LiPr2MnSe5 with its simulated powder diffraction line list. Radiation: Cu Kα (weighted mean of Kα1 and Kα2). Structure: a GGA-PBE-relaxed structure.
Neutral-atom scattering factors, no anomalous dispersion.

Atomic structure:
Unit cell a=9.2117 b=9.2117 c=11.3271 alpha=90.00 beta=90.00 gamma=153.99
Atoms (fractional coordinates):
Li 0.2194 0.7806 0.5000
Li 0.7806 0.2194 0.0000
Pr 0.1114 0.8886 0.8051
Pr 0.1238 0.8762 0.1849
Pr 0.8762 0.1238 0.6849
Pr 0.8886 0.1114 0.3051
Mn 0.4041 0.5959 0.9826
Mn 0.5959 0.4041 0.4826
Se 0.0342 0.9658 0.5585
Se 0.2964 0.7036 0.8389
Se 0.3109 0.6891 0.1495
Se 0.3577 0.6423 0.4956
Se 0.4812 0.5188 0.7972
Se 0.5188 0.4812 0.2972
Se 0.6423 0.3577 0.9956
Se 0.6891 0.3109 0.6495
Se 0.7036 0.2964 0.3389
Se 0.9658 0.0342 0.0585

Most intense lines, 10 to 80 degrees two-theta, low angle first:
d [Å]	I_rel
4.488	32.6
2.920	63.1
2.891	66.5
2.759	100.0
2.714	40.3
2.448	81.6
2.345	29.9
2.073	43.9

This entry pairs a crystal structure of Er3Sc7 with its simulated powder diffraction line list. Radiation: Cu Kα (weighted mean of Kα1 and Kα2). Structure: a GGA-PBE-relaxed structure.
Neutral-atom scattering factors, no anomalous dispersion.

Atomic structure:
Unit cell a=8.1787 b=8.1787 c=6.6249 alpha=101.87 beta=101.87 gamma=37.40
Atoms (fractional coordinates):
Er 0.0000 0.0000 0.0000
Er 0.2114 0.2114 0.8497
Er 0.7886 0.7886 0.1503
Sc 0.0000 0.0000 0.5000
Sc 0.2105 0.2105 0.3580
Sc 0.4020 0.4020 0.6936
Sc 0.4035 0.4035 0.2065
Sc 0.5965 0.5965 0.7935
Sc 0.5980 0.5980 0.3064
Sc 0.7895 0.7895 0.6420

Most intense lines, 10 to 80 degrees two-theta, low angle first:
d [Å]	I_rel
6.467	22.8
3.804	27.2
2.764	15.5
2.625	100.0
2.620	53.0
1.904	19.1
1.514	22.7
1.401	14.2

This entry pairs a crystal structure of Pa2VN5 with its simulated powder diffraction line list. Radiation: Cu Kα (weighted mean of Kα1 and Kα2). Structure: a GGA-PBE-relaxed structure.
Neutral-atom scattering factors, no anomalous dispersion.

Atomic structure:
Unit cell a=9.3666 b=7.0416 c=6.9193 alpha=90.00 beta=97.66 gamma=90.00
Atoms (fractional coordinates):
Pa 0.0212 0.1178 0.2454
Pa 0.0212 0.3822 0.7454
Pa 0.3490 0.1453 0.9776
Pa 0.3490 0.3547 0.4776
Pa 0.6510 0.6453 0.5224
Pa 0.6510 0.8547 0.0224
Pa 0.9788 0.6178 0.2546
Pa 0.9788 0.8822 0.7546
V 0.2976 0.6011 0.9730
V 0.2976 0.8989 0.4730
V 0.7024 0.1011 0.5270
V 0.7024 0.3989 0.0270
N 0.0991 0.1194 0.9159
N 0.0991 0.3806 0.4159
N 0.0990 0.6435 0.9522
N 0.0990 0.8565 0.4522
N 0.2736 0.0812 0.2798
N 0.2736 0.4188 0.7798
N 0.3525 0.0659 0.6549
N 0.3525 0.4341 0.1549
N 0.4088 0.6772 0.4884
N 0.4088 0.8228 0.9884
N 0.5912 0.1772 0.0116
N 0.5912 0.3228 0.5116
N 0.6475 0.5659 0.8451
N 0.6475 0.9341 0.3451
N 0.7264 0.5812 0.2202
N 0.7264 0.9188 0.7202
N 0.9010 0.1435 0.5478
N 0.9010 0.3565 0.0478
N 0.9009 0.6194 0.5841
N 0.9009 0.8806 0.0841

Most intense lines, 10 to 80 degrees two-theta, low angle first:
d [Å]	I_rel
5.610	43.6
3.366	62.5
3.092	84.3
2.914	100.0
2.673	63.4
2.597	20.7
1.919	41.3
1.813	28.7

This entry pairs a crystal structure of ScCoSiNi with its simulated powder diffraction line list. Radiation: Cu Kα (weighted mean of Kα1 and Kα2). Structure: a GGA-PBE-relaxed structure.
Neutral-atom scattering factors, no anomalous dispersion.

Atomic structure:
Unit cell a=5.8997 b=5.8997 c=5.8997 alpha=90.00 beta=90.00 gamma=90.00
Atoms (fractional coordinates):
Sc 0.0000 0.0000 0.0000
Sc 0.0000 0.5000 0.5000
Sc 0.5000 0.0000 0.5000
Sc 0.5000 0.5000 0.0000
Co 0.2500 0.2500 0.2500
Co 0.2500 0.7500 0.7500
Co 0.7500 0.2500 0.7500
Co 0.7500 0.7500 0.2500
Si 0.0000 0.0000 0.5000
Si 0.0000 0.5000 0.0000
Si 0.5000 0.0000 0.0000
Si 0.5000 0.5000 0.5000
Ni 0.2500 0.2500 0.7500
Ni 0.2500 0.7500 0.2500
Ni 0.7500 0.2500 0.2500
Ni 0.7500 0.7500 0.7500

Most intense lines, 10 to 80 degrees two-theta, low angle first:
d [Å]	I_rel
3.406	1.8
2.950	10.0
2.086	100.0
1.779	0.7
1.703	2.6
1.475	15.1
1.319	2.9
1.204	29.5

This entry pairs a crystal structure of NdAsRh3 with its simulated powder diffraction line list. Radiation: Cu Kα (weighted mean of Kα1 and Kα2). Structure: a GGA-PBE-relaxed structure.
Neutral-atom scattering factors, no anomalous dispersion.

Atomic structure:
Unit cell a=6.3913 b=6.3913 c=6.3913 alpha=129.20 beta=106.09 gamma=95.21
Atoms (fractional coordinates):
Nd 0.2552 0.0052 0.2500
Nd 0.7448 0.9948 0.7500
As 0.0000 0.5000 0.5000
As 0.5000 0.5000 0.0000
Rh 0.0752 0.3252 0.7500
Rh 0.2944 0.0000 0.7944
Rh 0.2944 0.5000 0.2944
Rh 0.7056 0.0000 0.2056
Rh 0.7056 0.5000 0.7056
Rh 0.9248 0.6748 0.2500

Most intense lines, 10 to 80 degrees two-theta, low angle first:
d [Å]	I_rel
2.956	72.8
2.868	37.8
2.456	44.1
2.313	83.9
2.232	67.9
2.155	39.3
2.122	100.0
1.921	36.1

This entry pairs a crystal structure of Pm2Pr5Ho3 with its simulated powder diffraction line list. Radiation: Cu Kα (weighted mean of Kα1 and Kα2). Structure: a GGA-PBE-relaxed structure.
Neutral-atom scattering factors, no anomalous dispersion.

Atomic structure:
Unit cell a=9.2863 b=9.2863 c=10.0976 alpha=108.53 beta=108.53 gamma=107.84
Atoms (fractional coordinates):
Pm 0.0310 0.2740 0.0583
Pm 0.2740 0.0310 0.5583
Pm 0.7260 0.9690 0.4417
Pm 0.9690 0.7260 0.9417
Pr 0.1342 0.3764 0.7568
Pr 0.2279 0.7721 0.7500
Pr 0.2677 0.7323 0.2500
Pr 0.3764 0.1342 0.2568
Pr 0.4754 0.5246 0.2500
Pr 0.5246 0.4754 0.7500
Pr 0.6236 0.8658 0.7432
Pr 0.7323 0.2677 0.7500
Pr 0.7721 0.2279 0.2500
Pr 0.8658 0.6236 0.2432
Ho 0.0204 0.9796 0.7500
Ho 0.2198 0.4674 0.4451
Ho 0.4674 0.2198 0.9451
Ho 0.5326 0.7802 0.0549
Ho 0.7802 0.5326 0.5549
Ho 0.9796 0.0204 0.2500

Most intense lines, 10 to 80 degrees two-theta, low angle first:
d [Å]	I_rel
3.064	93.6
2.908	100.0
2.813	21.8
2.734	46.6
2.516	24.0
1.876	31.1
1.547	22.0
1.490	25.4